Record 1
Structure and simulated powder X-ray diffraction pattern of NdCd2PdAu2 (DFT lattice parameters and positions (PBE); λ = 1.5418 Å (Cu Kα)).
Lines closer than 0.1° are merged.

Top 10 peaks for 15 to 90 degrees two-theta, by intensity:
33.41°, d = 2.682 Å, I 100, (2 0 0); 46.96°, d = 1.935 Å, I 73, (2 0 4); 23.46°, d = 3.793 Å, I 55, (1 1 0); 32.03°, d = 2.794 Å, I 53, (0 0 4); 15.86°, d = 5.589 Å, I 51, (0 0 2); 58.85°, d = 1.569 Å, I 37, (2 2 4); 47.98°, d = 1.896 Å, I 36, (2 2 0); 88.77°, d = 1.102 Å, I 27, (4 2 4); 37.19°, d = 2.418 Å, I 26, (2 0 2); 40.08°, d = 2.250 Å, I 25, (1 1 4)

Structural model:
```
data_NdCd2PdAu2
_space_group_name_H-M_alt 'I 4/m m m'
_space_group_IT_number 139
_space_group_name_Hall '-I 4 2'
_cell_length_a 5.364
_cell_length_b 5.364
_cell_length_c 11.177
_cell_angle_alpha 90.00
_cell_angle_beta 90.00
_cell_angle_gamma 90.00
loop_
_atom_site_label
_atom_site_fract_x
_atom_site_fract_y
_atom_site_fract_z
_atom_site_occupancy
Nd1 0.000 0.000 0.000 1
Cd1 0.000 0.500 0.250 1
Pd1 0.000 0.000 0.500 1
Au1 0.000 0.000 0.263 1
```



Record 2
Structure and simulated powder X-ray diffraction pattern of Sc3AlFe8 (DFT lattice parameters and positions (PBE); λ = 1.5418 Å (Cu Kα)).
Lines closer than 0.1° are merged.

Top 10 peaks for 15 to 90 degrees two-theta, by intensity:
43.60°, d = 2.076 Å, I 100, (2 0 2); 45.65°, d = 1.987 Å, I 53, (0 2 4); 71.16°, d = 1.325 Å, I 27, (3 0 6); 22.37°, d = 3.975 Å, I 25, (0 0 6); 78.61°, d = 1.217 Å, I 25, (2 2 0); 36.93°, d = 2.434 Å, I 17, (1 1 0); 53.22°, d = 1.721 Å, I 11, (2 0 8); 66.54°, d = 1.405 Å, I 5, (3 0 0); 58.43°, d = 1.579 Å, I 5, (0 1 14); 82.98°, d = 1.164 Å, I 3, (1 2 14)

Structural model:
```
data_Sc3AlFe8
_space_group_name_H-M_alt 'R 3 m'
_space_group_IT_number 160
_space_group_name_Hall 'R 3 -2"'
_cell_length_a 4.8684
_cell_length_b 4.8684
_cell_length_c 23.8450
_cell_angle_alpha 90.00
_cell_angle_beta 90.00
_cell_angle_gamma 120.00
loop_
_atom_site_label
_atom_site_fract_x
_atom_site_fract_y
_atom_site_fract_z
_atom_site_occupancy
Sc1 0.0000 0.0000 0.0000 1
Sc2 0.0000 0.0000 0.1266 1
Sc3 0.0000 0.0000 0.5043 1
Al1 0.0000 0.0000 0.6272 1
Fe1 0.0000 0.0000 0.3141 1
Fe2 0.0000 0.0000 0.8142 1
Fe3 0.0006 0.5003 0.5659 1
Fe4 0.1681 0.3363 0.3962 1
```



Record 3
Structure and simulated powder X-ray diffraction pattern of ScAlPb (DFT lattice parameters and positions (PBE); λ = 1.5418 Å (Cu Kα)).
Lines closer than 0.1° are merged.

Top 10 peaks for 15 to 90 degrees two-theta, by intensity:
35.02°, d = 2.562 Å, I 100, (1 3 1); 21.74°, d = 4.087 Å, I 42, (1 1 0); 24.38°, d = 3.651 Å, I 28, (0 2 1); 35.56°, d = 2.524 Å, I 23, (0 6 0); 42.60°, d = 2.122 Å, I 21, (2 0 0); 31.93°, d = 2.802 Å, I 19, (0 4 1); 30.64°, d = 2.918 Å, I 18, (1 1 1); 63.52°, d = 1.465 Å, I 16, (1 9 1); 43.43°, d = 2.084 Å, I 14, (0 0 2); 73.98°, d = 1.281 Å, I 13, (2 6 2)

Structural model:
```
data_ScAlPb
_space_group_name_H-M_alt 'C m c m'
_space_group_IT_number 63
_space_group_name_Hall '-C 2c 2'
_cell_length_a 4.245
_cell_length_b 15.147
_cell_length_c 4.167
_cell_angle_alpha 90.00
_cell_angle_beta 90.00
_cell_angle_gamma 90.00
loop_
_atom_site_label
_atom_site_fract_x
_atom_site_fract_y
_atom_site_fract_z
_atom_site_occupancy
Sc1 0.000 0.097 0.250 1
Al1 0.000 0.251 0.750 1
Pb1 0.000 0.418 0.250 1
```